# K4CoSi2O7
Computed X-ray diffraction stick pattern, Cu Kα (λ = 1.5418 Å). Input: a DFT-relaxed cell (GGA+U, OQMD).
Kinematic intensities with the Lorentz-polarization factor, no thermal factor.

Atomic structure:
Lattice parameters (Å, degrees): 6.068 6.756 6.850 113.32 99.98 106.30
Sites, in units of the cell vectors:
K 0.075 0.047 0.283
K 0.313 0.569 0.217
K 0.687 0.431 0.783
K 0.925 0.953 0.717
Co 0.500 0.000 0.000
Si 0.221 0.569 0.726
Si 0.779 0.431 0.274
O 0.000 0.500 0.500
O 0.178 0.762 0.943
O 0.215 0.335 0.737
O 0.481 0.732 0.723
O 0.519 0.268 0.277
O 0.785 0.665 0.263
O 0.822 0.238 0.057

Peak list (12 most intense, 10 to 90 degrees two-theta, in order of falling intensity)
index	2θ (°)	d [Å]	intensity
2 -1 0	30.0	2.974	100.0
1 1 -2	29.1	3.068	69.6
1 -2 2	34.5	2.601	63.1
2 1 -1	37.3	2.408	57.9
0 1 -1	15.6	5.666	53.8
1 -1 1	21.6	4.109	42.2
1 -2 1	28.0	3.182	41.4
-1 1 2	36.8	2.442	40.7
1 0 -1	18.1	4.911	28.7
1 3 -2	49.0	1.859	28.4
0 2 0	31.3	2.861	25.9
0 0 1	14.9	5.954	24.5